No. 1
Computed powder diffraction line list of Li10GeP2S12 for Cu Ka, from a cell relaxed with GGA-PBE.
No peak broadening, texture or thermal motion is included.

Top 6 peaks for 2θ from 10° to 90°, low angle first:
h k l, two_theta, I_rel
1 1 0, 14.25, 41
1 1 2, 20.03, 57
2 1 2, 26.70, 35
2 0 3, 29.35, 100
4 0 0, 41.09, 34
3 2 4, 47.06, 39

Atomic structure:
a b c (Å): 8.7876 8.7876 12.6575
angles (deg): 90.00 90.00 90.00
Space group P4_2mc (No. 105)
Symmetry-distinct sites (fractional):
Li (0.0000, 0.0000, 0.0000)
Li (0.2248, 0.2437, 0.4886)
Li (0.2270, 0.2713, 0.7465)
Li (0.5000, 0.5000, 0.3917)
Ge (0.0000, 0.0000, 0.2530)
P (0.0000, 0.5000, 0.9561)
P (0.5000, 0.5000, 0.1380)
S (0.0000, 0.2074, 0.6501)
S (0.0000, 0.2100, 0.3552)
S (0.0000, 0.3102, 0.0490)
S (0.1944, 0.5000, 0.8641)
S (0.3047, 0.5000, 0.5461)
S (0.3080, 0.5000, 0.2290)

---

No. 2
Computed powder diffraction line list of Li2GePbS4 for Cu Ka, from a cell relaxed with GGA-PBE.
No peak broadening, texture or thermal motion is included.

Top 6 peaks for 2θ from 10° to 90°, low angle first:
h k l, two_theta, I_rel
1 0 1, 17.55, 30
1 1 0, 19.10, 100
1 1 2, 29.67, 79
2 1 1, 32.51, 35
2 0 2, 35.53, 54
3 1 2, 49.56, 41

Atomic structure:
a b c (Å): 6.5705 6.5705 7.9086
angles (deg): 90.00 90.00 90.00
Space group I-42m (No. 121)
Symmetry-distinct sites (fractional):
Li (0.0000, 0.5000, 0.2500)
Ge (0.0000, 0.0000, 0.0000)
Pb (0.0000, 0.0000, 0.5000)
S (0.1970, 0.1970, 0.8372)

---

No. 3
Computed powder diffraction line list of LiGePd2 for Cu Ka, from a cell relaxed with GGA-PBE.
No peak broadening, texture or thermal motion is included.

Top 6 peaks for 2θ from 10° to 90°, low angle first:
h k l, two_theta, I_rel
1 1 1, 25.33, 14
2 0 0, 29.33, 28
2 2 0, 41.97, 100
4 0 0, 60.85, 16
4 2 0, 68.97, 9
4 2 2, 76.66, 33

Atomic structure:
a b c (Å): 6.0893 6.0893 6.0893
angles (deg): 90.00 90.00 90.00
Space group Fm-3m (No. 225)
Symmetry-distinct sites (fractional):
Li (0.0000, 0.0000, 0.0000)
Ge (0.0000, 0.0000, 0.5000)
Pd (0.2500, 0.2500, 0.2500)

---

No. 4
Computed powder diffraction line list of Li2PmGe for Cu Ka, from a cell relaxed with GGA-PBE.
No peak broadening, texture or thermal motion is included.

Top 6 peaks for 2θ from 10° to 90°, low angle first:
h k l, two_theta, I_rel
1 1 1, 23.38, 22
2 0 0, 27.07, 100
2 2 0, 38.65, 93
2 2 2, 47.82, 28
4 2 0, 63.10, 36
4 2 2, 69.94, 32

Atomic structure:
a b c (Å): 6.5891 6.5891 6.5891
angles (deg): 90.00 90.00 90.00
Space group Fm-3m (No. 225)
Symmetry-distinct sites (fractional):
Li (0.2500, 0.2500, 0.2500)
Pm (0.0000, 0.0000, 0.0000)
Ge (0.0000, 0.0000, 0.5000)

---

No. 5
Computed powder diffraction line list of LiPrGe2 for Cu Ka, from a cell relaxed with GGA-PBE.
No peak broadening, texture or thermal motion is included.

Top 6 peaks for 2θ from 10° to 90°, low angle first:
h k l, two_theta, I_rel
1 0 1, 13.94, 46
2 0 0, 22.64, 31
1 0 3, 27.25, 36
2 1 0, 31.94, 100
0 1 3, 33.50, 47
1 1 3, 35.45, 80

Atomic structure:
a b c (Å): 7.8564 3.9981 10.7996
angles (deg): 90.00 90.00 90.00
Space group Pnma (No. 62)
Symmetry-distinct sites (fractional):
Li (0.0093, 0.2500, 0.1110)
Pr (0.1397, 0.7500, 0.3659)
Ge (0.1572, 0.7500, 0.6834)
Ge (0.2196, 0.7500, 0.0668)

---

No. 6
Computed powder diffraction line list of LiPr2Ge6 for Cu Ka, from a cell relaxed with GGA-PBE.
No peak broadening, texture or thermal motion is included.

Top 6 peaks for 2θ from 10° to 90°, low angle first:
h k l, two_theta, I_rel
0 4 1, 26.48, 15
1 3 1, 32.45, 100
0 8 0, 33.11, 18
1 5 1, 36.57, 37
0 0 2, 42.06, 35
2 0 0, 43.64, 20

Atomic structure:
a b c (Å): 4.1483 21.6457 4.2979
angles (deg): 90.00 90.00 90.00
Space group Cmmm (No. 65)
Symmetry-distinct sites (fractional):
Li (0.0000, 0.0000, 0.0000)
Pr (0.0000, 0.1664, 0.0000)
Ge (0.0000, 0.0613, 0.5000)
Ge (0.0000, 0.2872, 0.5000)
Ge (0.0000, 0.4388, 0.0000)